Record 1
Computed powder X-ray diffraction pattern
Compound: NaH8O5
Radiation: a wavelength of 1.5418 Å
Structure: a structure optimized by DFT (PBE)
No peak broadening, texture or thermal motion is included.

The 6 most intense peaks (2θ = 10–90°), low angle first:
- 2θ = 16.3°, rel. 66
- 2θ = 30.3°, rel. 66
- 2θ = 32.1°, rel. 40
- 2θ = 33.6°, rel. 100
- 2θ = 35.1°, rel. 78
- 2θ = 35.4°, rel. 65

Structural model:
```
NaH8O5
1.0
7.194 -3.248 0.000
7.194 3.248 0.000
-5.617 0.000 10.120
Na H O
4 32 20
direct
0.195 0.202 0.428
0.202 0.195 0.928
0.798 0.805 0.072
0.805 0.798 0.572
0.032 0.082 0.660
0.082 0.032 0.160
0.095 0.373 0.684
0.114 0.756 0.490
0.148 0.623 0.936
0.188 0.657 0.295
0.244 0.886 0.010
0.264 0.441 0.709
0.291 0.677 0.629
0.296 0.545 0.073
0.323 0.709 0.871
0.343 0.812 0.205
0.373 0.095 0.184
0.377 0.852 0.564
0.441 0.264 0.209
0.455 0.704 0.427
0.545 0.296 0.573
0.559 0.736 0.791
0.623 0.148 0.436
0.627 0.905 0.816
0.657 0.188 0.795
0.677 0.291 0.129
0.704 0.455 0.927
0.709 0.323 0.371
0.736 0.559 0.291
0.756 0.114 0.990
0.812 0.343 0.705
0.852 0.377 0.064
0.886 0.244 0.510
0.905 0.627 0.316
0.918 0.968 0.840
0.968 0.918 0.340
0.021 0.752 0.301
0.124 0.443 0.649
0.129 0.803 0.586
0.165 0.549 0.994
0.197 0.871 0.914
0.248 0.979 0.199
0.443 0.124 0.149
0.451 0.835 0.506
0.462 0.499 0.299
0.499 0.462 0.799
0.501 0.538 0.201
0.538 0.501 0.701
0.549 0.165 0.494
0.557 0.876 0.851
0.752 0.021 0.801
0.803 0.129 0.086
0.835 0.451 0.006
0.871 0.197 0.414
0.876 0.557 0.351
0.979 0.248 0.699
```

***

Record 2
Computed powder X-ray diffraction pattern
Compound: Na4HO
Radiation: a wavelength of 1.5418 Å
Structure: a structure optimized by DFT (PBE)
No peak broadening, texture or thermal motion is included.

The 6 most intense peaks (2θ = 10–90°), low angle first:
- 2θ = 16.9°, rel. 100
- 2θ = 20.6°, rel. 83
- 2θ = 28.4°, rel. 72
- 2θ = 34.2°, rel. 57
- 2θ = 40.4°, rel. 73
- 2θ = 40.7°, rel. 53

Structural model:
```
Na4HO
1.0
2.215 -9.540 0.000
2.215 9.540 0.000
0.000 0.000 6.283
Na H O
8 2 2
direct
0.012 0.988 0.500
0.143 0.857 0.120
0.208 0.792 0.677
0.405 0.595 0.240
0.595 0.405 0.740
0.792 0.208 0.177
0.857 0.143 0.620
0.988 0.012 0.000
0.260 0.740 0.079
0.740 0.260 0.579
0.091 0.909 0.794
0.909 0.091 0.294
```

***

Record 3
Computed powder X-ray diffraction pattern
Compound: Na2HO
Radiation: a wavelength of 1.5418 Å
Structure: a structure optimized by DFT (PBE)
No peak broadening, texture or thermal motion is included.

The 6 most intense peaks (2θ = 10–90°), low angle first:
- 2θ = 31.7°, rel. 100
- 2θ = 38.8°, rel. 100
- 2θ = 39.1°, rel. 99
- 2θ = 42.1°, rel. 75
- 2θ = 49.2°, rel. 72
- 2θ = 50.0°, rel. 66

Structural model:
```
Na2HO
1.0
4.537 0.000 0.000
0.000 3.749 0.000
-2.028 0.000 5.911
Na H O
4 2 2
direct
0.234 0.250 0.071
0.254 0.250 0.552
0.746 0.750 0.448
0.766 0.750 0.929
0.212 0.750 0.804
0.788 0.250 0.196
0.178 0.750 0.291
0.822 0.250 0.709
```